# LiAl2Ni
Computed powder X-ray diffraction pattern, copper Kα. Input: a crystal structure in the Materials Project, relaxed with GGA-PBE.
No peak broadening, texture or thermal motion is included.

Top 9 peaks for 2θ from 10° to 90°, low angle first:
hkl 1 1 1, d = 3.392 Å, intensity 63
hkl 2 0 0, d = 2.938 Å, intensity 2
hkl 2 2 0, d = 2.077 Å, intensity 100
hkl 3 1 1, d = 1.771 Å, intensity 27
hkl 2 2 2, d = 1.696 Å, intensity 1
hkl 4 0 0, d = 1.469 Å, intensity 16
hkl 3 3 1, d = 1.348 Å, intensity 10
hkl 4 2 2, d = 1.199 Å, intensity 31
hkl 5 1 1, d = 1.131 Å, intensity 8

Structure:
```
16
Lattice="5.8751 0.0000 0.0000 0.0000 5.8751 0.0000 0.0000 0.0000 5.8751" Properties=species:S:1:pos:R:3 pbc="T T T"
Li 0.0000 0.0000 0.0000
Li 0.0000 2.9375 2.9375
Li 2.9375 0.0000 2.9375
Li 2.9375 2.9375 0.0000
Al 1.4688 1.4688 1.4688
Al 1.4688 1.4688 4.4063
Al 1.4688 4.4063 1.4688
Al 1.4688 4.4063 4.4063
Al 4.4063 1.4688 1.4688
Al 4.4063 1.4688 4.4063
Al 4.4063 4.4063 1.4688
Al 4.4063 4.4063 4.4063
Ni 0.0000 0.0000 2.9375
Ni 0.0000 2.9375 0.0000
Ni 2.9375 0.0000 0.0000
Ni 2.9375 2.9375 2.9375
```

---

# LiAlO3
Computed powder X-ray diffraction pattern, copper Kα. Input: a crystal structure in the Materials Project, relaxed with GGA-PBE.
No peak broadening, texture or thermal motion is included.

Top 10 peaks for 2θ from 10° to 90°, low angle first:
hkl 1 0 0, d = 3.709 Å, intensity 100
hkl 1 1 0, d = 2.623 Å, intensity 11
hkl 1 1 1, d = 2.142 Å, intensity 12
hkl 2 0 0, d = 1.855 Å, intensity 50
hkl 2 1 0, d = 1.659 Å, intensity 30
hkl 2 1 1, d = 1.514 Å, intensity 6
hkl 2 2 0, d = 1.311 Å, intensity 25
hkl 3 0 0, d = 1.236 Å, intensity 13
hkl 3 1 0, d = 1.173 Å, intensity 3
hkl 3 1 1, d = 1.118 Å, intensity 1

Structure:
```
5
Lattice="3.7092 0.0000 0.0000 0.0000 3.7092 0.0000 0.0000 0.0000 3.7092" Properties=species:S:1:pos:R:3 pbc="T T T"
Li 0.0000 0.0000 0.0000
Al 1.8546 1.8546 1.8546
O 0.0000 1.8546 1.8546
O 1.8546 0.0000 1.8546
O 1.8546 1.8546 0.0000
```